The following is a simulated powder XRD pattern of LaDy4Ho4. It was derived from a DFT-relaxed cell (PBE, Alexandria), using CuKα.

Largest 10 diffraction maxima, low angle first, 2θ = 15–90°:
d [Å], intensity
2.987, 40
2.851, 51
2.810, 100
2.772, 47
2.751, 50
2.102, 14
1.780, 14
1.592, 14
1.504, 24
1.498, 15

Structural model:
Cell: 6.7538 8.6634 10.6787 Å, 78.15 74.81 76.26°
Space group P-1 (No. 2)
Asymmetric unit:
La1 0.2416 0.4661 0.2162 x2
Dy1 0.0780 0.1680 0.7913 x2
Dy2 0.0810 0.1629 0.1245 x2
Dy3 0.2467 0.4755 0.8789 x2
Dy4 0.2468 0.4765 0.5469 x2
Ho1 0.0839 0.1630 0.4612 x2
Ho2 0.3816 0.8367 0.6293 x2
Ho3 0.3879 0.8423 0.9607 x2
Ho4 0.3924 0.8405 0.2970 x2